Calculated X-ray powder pattern
Compound: Zn4Fe5P6O28
Radiation: Cu Kα
Structure: DFT lattice parameters and positions (GGA+U)
Neutral-atom scattering factors, no anomalous dispersion.

Cell and atoms:
Cell lengths 6.417, 8.888, 10.129 Å; angles 71.43, 77.94, 74.52 degrees
Fractional coordinates of all 43 atoms:
Zn (0.022, 0.489, 0.202)
Zn (0.045, 0.846, 0.222)
Zn (0.955, 0.154, 0.778)
Zn (0.978, 0.511, 0.798)
Fe (0.292, 0.628, 0.518)
Fe (0.474, 0.226, 0.174)
Fe (0.500, 0.000, 0.000)
Fe (0.526, 0.774, 0.826)
Fe (0.708, 0.372, 0.482)
P (0.012, 0.207, 0.070)
P (0.237, 0.281, 0.478)
P (0.479, 0.601, 0.191)
P (0.521, 0.399, 0.809)
P (0.763, 0.719, 0.522)
P (0.988, 0.793, 0.930)
O (0.001, 0.720, 0.092)
O (0.025, 0.400, 0.414)
O (0.134, 0.301, 0.122)
O (0.154, 0.030, 0.083)
O (0.173, 0.170, 0.620)
O (0.211, 0.795, 0.843)
O (0.232, 0.818, 0.521)
O (0.308, 0.487, 0.744)
O (0.308, 0.682, 0.298)
O (0.368, 0.187, 0.373)
O (0.377, 0.396, 0.493)
O (0.385, 0.475, 0.157)
O (0.470, 0.995, 0.832)
O (0.494, 0.256, 0.945)
O (0.506, 0.744, 0.055)
O (0.530, 0.005, 0.168)
O (0.615, 0.525, 0.843)
O (0.623, 0.604, 0.507)
O (0.632, 0.813, 0.627)
O (0.692, 0.318, 0.702)
O (0.692, 0.513, 0.256)
O (0.768, 0.182, 0.479)
O (0.789, 0.205, 0.157)
O (0.827, 0.830, 0.380)
O (0.846, 0.970, 0.917)
O (0.866, 0.699, 0.878)
O (0.975, 0.600, 0.586)
O (0.999, 0.280, 0.908)

Largest 10 diffraction maxima, in order of rising 2θ, 2θ = 10–90°:
2θ = 10.76°, d 8.226, I = 72, hkl 0 1 0
2θ = 12.10°, d 7.312, I = 55, hkl 0 1 1
2θ = 16.09°, d 5.508, I = 59, hkl 0 1 -1
2θ = 21.91°, d 4.057, I = 62, hkl 1 2 1
2θ = 24.36°, d 3.653, I = 56, hkl 1 2 2
2θ = 28.14°, d 3.171, I = 100, hkl 0 0 3
2θ = 29.39°, d 3.039, I = 58, hkl 2 0 1
2θ = 31.88°, d 2.807, I = 68, hkl 2 0 -1
2θ = 32.83°, d 2.728, I = 83, hkl 0 3 2
2θ = 32.98°, d 2.716, I = 54, hkl 0 1 -3

=====

Calculated X-ray powder pattern
Compound: ZnFe3P3O13
Radiation: Cu Kα
Structure: DFT lattice parameters and positions (GGA+U)
Neutral-atom scattering factors, no anomalous dispersion.

Cell and atoms:
Cell lengths 7.673, 6.354, 10.091 Å; angles 90.00, 100.56, 90.00 degrees
Fractional coordinates of all 40 atoms:
Zn (0.125, 0.250, 0.179)
Zn (0.875, 0.750, 0.821)
Fe (0.146, 0.250, 0.794)
Fe (0.285, 0.750, 0.433)
Fe (0.500, 0.000, 0.000)
Fe (0.500, 0.500, 0.000)
Fe (0.715, 0.250, 0.567)
Fe (0.854, 0.750, 0.206)
P (0.179, 0.750, 0.110)
P (0.228, 0.750, 0.761)
P (0.282, 0.250, 0.501)
P (0.718, 0.750, 0.499)
P (0.772, 0.250, 0.239)
P (0.821, 0.250, 0.890)
O (0.011, 0.250, 0.977)
O (0.110, 0.563, 0.787)
O (0.110, 0.937, 0.787)
O (0.129, 0.750, 0.253)
O (0.154, 0.250, 0.602)
O (0.246, 0.060, 0.403)
O (0.246, 0.440, 0.403)
O (0.278, 0.750, 0.622)
O (0.284, 0.544, 0.097)
O (0.284, 0.956, 0.097)
O (0.379, 0.250, 0.903)
O (0.404, 0.750, 0.869)
O (0.473, 0.250, 0.583)
O (0.527, 0.750, 0.417)
O (0.596, 0.250, 0.131)
O (0.621, 0.750, 0.097)
O (0.716, 0.044, 0.903)
O (0.716, 0.456, 0.903)
O (0.722, 0.250, 0.378)
O (0.754, 0.560, 0.597)
O (0.754, 0.940, 0.597)
O (0.846, 0.750, 0.398)
O (0.871, 0.250, 0.747)
O (0.890, 0.063, 0.213)
O (0.890, 0.437, 0.213)
O (0.989, 0.750, 0.023)

Largest 10 diffraction maxima, in order of rising 2θ, 2θ = 10–90°:
2θ = 19.53°, d 4.544, I = 100, hkl 1 0 -2
2θ = 23.20°, d 3.834, I = 60, hkl 1 0 2
2θ = 23.62°, d 3.766, I = 82, hkl 2 0 -1
2θ = 26.96°, d 3.307, I = 41, hkl 0 0 3
2θ = 28.08°, d 3.177, I = 95, hkl 0 2 0
2θ = 30.50°, d 2.931, I = 77, hkl 1 2 0
2θ = 31.47°, d 2.843, I = 71, hkl 1 0 3
2θ = 32.52°, d 2.753, I = 68, hkl 2 0 -3
2θ = 37.01°, d 2.429, I = 45, hkl 2 2 0
2θ = 39.33°, d 2.291, I = 57, hkl 0 2 3

=====

Calculated X-ray powder pattern
Compound: Zn2FeP2O12
Radiation: Cu Kα
Structure: DFT lattice parameters and positions (GGA+U)
Neutral-atom scattering factors, no anomalous dispersion.

Cell and atoms:
Cell lengths 10.021, 5.182, 10.549 Å; angles 90.00, 121.69, 90.00 degrees
Fractional coordinates of all 34 atoms:
Zn (0.002, 0.240, 0.142)
Zn (0.002, 0.260, 0.642)
Zn (0.998, 0.740, 0.358)
Zn (0.998, 0.760, 0.858)
Fe (0.500, 0.000, 0.000)
Fe (0.500, 0.500, 0.500)
P (0.201, 0.227, 0.000)
P (0.201, 0.273, 0.500)
P (0.799, 0.727, 0.500)
P (0.799, 0.773, 0.000)
O (0.102, 0.085, 0.843)
O (0.102, 0.415, 0.343)
O (0.160, 0.103, 0.108)
O (0.160, 0.397, 0.608)
O (0.162, 0.516, 0.981)
O (0.162, 0.984, 0.481)
O (0.335, 0.672, 0.350)
O (0.335, 0.828, 0.850)
O (0.378, 0.185, 0.062)
O (0.378, 0.315, 0.562)
O (0.485, 0.708, 0.083)
O (0.485, 0.792, 0.583)
O (0.515, 0.208, 0.417)
O (0.515, 0.292, 0.917)
O (0.622, 0.685, 0.438)
O (0.622, 0.815, 0.938)
O (0.665, 0.172, 0.150)
O (0.665, 0.328, 0.650)
O (0.838, 0.016, 0.519)
O (0.838, 0.484, 0.019)
O (0.840, 0.603, 0.392)
O (0.840, 0.897, 0.892)
O (0.898, 0.585, 0.657)
O (0.898, 0.915, 0.157)

Largest 10 diffraction maxima, in order of rising 2θ, 2θ = 10–90°:
2θ = 10.37°, d 8.527, I = 58, hkl 1 0 0
2θ = 16.81°, d 5.275, I = 23, hkl 1 0 -2
2θ = 19.78°, d 4.488, I = 87, hkl 0 0 2
2θ = 20.05°, d 4.428, I = 23, hkl 1 1 0
2θ = 20.84°, d 4.263, I = 33, hkl 2 0 0
2θ = 26.27°, d 3.392, I = 60, hkl 0 1 2
2θ = 26.90°, d 3.314, I = 34, hkl 3 0 -2
2θ = 32.05°, d 2.793, I = 100, hkl 3 1 -2
2θ = 49.33°, d 1.847, I = 46, hkl 2 2 -4
2θ = 54.09°, d 1.696, I = 19, hkl 4 2 -4